Structure and computed powder X-ray diffraction pattern of Tm2NiOs (a PBE-relaxed structure; Cu Kα, 1.54184 Å).

Cell: 6.6799 6.6799 6.6799 Å, 90.00 90.00 90.00°
Element x y z (fractional)
Tm  0.2500  0.2500  0.2500
Tm  0.2500  0.2500  0.7500
Tm  0.2500  0.7500  0.2500
Tm  0.2500  0.7500  0.7500
Tm  0.7500  0.2500  0.2500
Tm  0.7500  0.2500  0.7500
Tm  0.7500  0.7500  0.2500
Tm  0.7500  0.7500  0.7500
Ni  0.0000  0.0000  0.0000
Ni  0.0000  0.5000  0.5000
Ni  0.5000  0.0000  0.5000
Ni  0.5000  0.5000  0.0000
Os  0.0000  0.0000  0.5000
Os  0.0000  0.5000  0.0000
Os  0.5000  0.0000  0.0000
Os  0.5000  0.5000  0.5000

Peak list (10 most intense, 10° ≤ 2θ ≤ 90°, by angle)
| (hkl) | 2θ/deg | d (Å) | Rel. int. |
| --- | --- | --- | --- |
| 1 1 1 | 23.06 | 3.857 | 100 |
| 2 0 0 | 26.69 | 3.340 | 26 |
| 2 2 0 | 38.10 | 2.362 | 1000 |
| 3 1 1 | 45.01 | 2.014 | 54 |
| 4 0 0 | 54.99 | 1.670 | 173 |
| 3 3 1 | 60.40 | 1.532 | 24 |
| 4 2 2 | 68.86 | 1.364 | 352 |
| 5 1 1 | 73.69 | 1.286 | 18 |
| 4 4 0 | 81.51 | 1.181 | 111 |
| 5 3 1 | 86.12 | 1.129 | 19 |